Record 1
The following is a calculated powder diffraction line list of Zr6CoBi3. It was derived from DFT lattice parameters and positions (GGA-PBE), using Cu Kα (weighted mean of Kα1 and Kα2).
Lines closer than 0.1° are merged.

Atomic structure:
Lattice parameters (Å, degrees): 8.7359 5.1677 10.7384 90.00 110.44 90.00
Element x y z (fractional)
Zr  0.0274  0.2500  0.3398
Zr  0.1051  0.7500  0.1478
Zr  0.1666  0.2500  0.6896
Zr  0.2460  0.2500  0.9929
Zr  0.3646  0.7500  0.8042
Zr  0.4704  0.2500  0.5892
Zr  0.5296  0.7500  0.4108
Zr  0.6354  0.2500  0.1958
Zr  0.7540  0.7500  0.0071
Zr  0.8334  0.7500  0.3104
Zr  0.8949  0.2500  0.8522
Zr  0.9726  0.7500  0.6602
Co  0.1294  0.7500  0.9053
Co  0.8706  0.2500  0.0947
Bi  0.2118  0.7500  0.4969
Bi  0.3387  0.2500  0.2904
Bi  0.4555  0.7500  0.1089
Bi  0.5445  0.2500  0.8911
Bi  0.6613  0.7500  0.7096
Bi  0.7882  0.2500  0.5031

Main lines, sorted by position (2θ = 10–90°):
2θ = 10.8°, intensity 12.0
2θ = 24.4°, intensity 17.7
2θ = 26.8°, intensity 11.8
2θ = 31.8°, intensity 16.2
2θ = 34.7°, intensity 100.0
2θ = 35.5°, intensity 84.3
2θ = 36.7°, intensity 73.1
2θ = 49.9°, intensity 31.9
2θ = 56.3°, intensity 12.4
2θ = 62.7°, intensity 16.1
2θ = 63.5°, intensity 15.2
2θ = 64.4°, intensity 14.0

---

Record 2
The following is a calculated powder diffraction line list of CrBi. It was derived from DFT lattice parameters and positions (GGA-PBE), using Cu Kα (weighted mean of Kα1 and Kα2).
Lines closer than 0.1° are merged.

Atomic structure:
Lattice parameters (Å, degrees): 6.4448 6.7530 8.5372 90.00 90.00 90.00
Element x y z (fractional)
Cr  0.0060  0.0428  0.4070
Cr  0.2047  0.3777  0.3446
Cr  0.2953  0.6223  0.8446
Cr  0.4940  0.9572  0.9070
Cr  0.5060  0.4572  0.5930
Cr  0.7047  0.1223  0.6554
Cr  0.7953  0.8777  0.1554
Cr  0.9940  0.5428  0.0930
Bi  0.1076  0.2973  0.6684
Bi  0.1387  0.1248  0.0730
Bi  0.3613  0.8752  0.5730
Bi  0.3924  0.7027  0.1684
Bi  0.6076  0.2027  0.3316
Bi  0.6387  0.3752  0.9270
Bi  0.8613  0.6248  0.4270
Bi  0.8924  0.7973  0.8316

Main lines, sorted by position (2θ = 10–90°):
2θ = 25.0°, intensity 40.4
2θ = 28.4°, intensity 100.0
2θ = 30.7°, intensity 91.8
2θ = 31.7°, intensity 83.0
2θ = 34.2°, intensity 38.2
2θ = 34.5°, intensity 19.7
2θ = 36.7°, intensity 26.8
2θ = 41.5°, intensity 21.4
2θ = 42.4°, intensity 29.8
2θ = 43.9°, intensity 36.3
2θ = 45.6°, intensity 27.1
2θ = 50.6°, intensity 23.2

---

Record 3
The following is a calculated powder diffraction line list of CrBi. It was derived from DFT lattice parameters and positions (GGA-PBE), using Cu Kα (weighted mean of Kα1 and Kα2).
Lines closer than 0.1° are merged.

Atomic structure:
Lattice parameters (Å, degrees): 9.7013 9.7013 4.2157 90.00 90.00 90.00
Element x y z (fractional)
Cr  0.0459  0.4019  0.0000
Cr  0.0710  0.5796  0.5000
Cr  0.4019  0.9541  0.0000
Cr  0.4204  0.0710  0.5000
Cr  0.5796  0.9290  0.5000
Cr  0.5981  0.0459  0.0000
Cr  0.9290  0.4204  0.5000
Cr  0.9541  0.5981  0.0000
Bi  0.1215  0.2113  0.5000
Bi  0.2113  0.8785  0.5000
Bi  0.2649  0.6112  0.0000
Bi  0.3888  0.2649  0.0000
Bi  0.6112  0.7351  0.0000
Bi  0.7351  0.3888  0.0000
Bi  0.7887  0.1215  0.5000
Bi  0.8785  0.7887  0.5000

Main lines, sorted by position (2θ = 10–90°):
2θ = 18.3°, intensity 17.4
2θ = 23.0°, intensity 65.3
2θ = 29.1°, intensity 100.0
2θ = 29.5°, intensity 66.1
2θ = 35.0°, intensity 38.1
2θ = 39.7°, intensity 96.0
2θ = 41.6°, intensity 20.3
2θ = 42.9°, intensity 26.0
2θ = 52.7°, intensity 39.8
2θ = 61.3°, intensity 14.7
2θ = 62.2°, intensity 27.0
2θ = 65.5°, intensity 21.5

---

Record 4
The following is a calculated powder diffraction line list of CsCrBiI6. It was derived from DFT lattice parameters and positions (GGA-PBE), using Cu Kα (weighted mean of Kα1 and Kα2).
Lines closer than 0.1° are merged.

Atomic structure:
Lattice parameters (Å, degrees): 7.8286 7.8286 8.6115 90.00 90.00 120.00
Element x y z (fractional)
Cs  0.0000  0.0000  0.0000
Cr  0.3333  0.6667  0.5000
Bi  0.6667  0.3333  0.5000
I  0.0229  0.3861  0.6983
I  0.0229  0.6368  0.3017
I  0.3632  0.3861  0.3017
I  0.3632  0.9771  0.6983
I  0.6139  0.6368  0.6983
I  0.6139  0.9771  0.3017

Main lines, sorted by position (2θ = 10–90°):
2θ = 10.3°, intensity 51.0
2θ = 16.6°, intensity 75.9
2θ = 25.0°, intensity 96.7
2θ = 30.9°, intensity 100.0
2θ = 36.6°, intensity 36.4
2θ = 38.9°, intensity 26.6
2θ = 39.9°, intensity 40.3
2θ = 41.2°, intensity 24.7
2θ = 47.6°, intensity 20.6
2θ = 48.2°, intensity 20.8
2θ = 49.6°, intensity 19.5
2θ = 51.3°, intensity 17.7